Entry 1:
Sm3TaO7: calculated X-ray powder pattern (a wavelength of 1.5418 Å), based on a PBE-relaxed structure.

Most intense lines, 2θ from 10° to 80°, sorted by position:
hkl  2θ (°)  I (rel.)
2 0 2  28.50  100
2 2 0  28.90  95
4 0 0  33.01  24
0 2 2  33.38  47
0 0 4  47.41  18
4 2 2  47.66  52
6 0 2  56.23  11
2 2 4  56.47  40
2 4 2  57.17  20
4 0 4  58.98  10
6 2 4  76.74  9
0 2 6  79.11  10

Structural model:
Cell lengths 10.853, 7.516, 7.671 Å; angles 90.00, 90.00, 90.00 degrees
Space group Cmcm (No. 63)
Asymmetric unit:
Sm 0.000 0.000 0.000 [4 per cell]
Sm 0.229 0.288 0.250 [8 per cell]
Ta 0.000 0.500 0.000 [4 per cell]
O 0.000 0.433 0.250 [4 per cell]
O 0.127 0.310 0.532 [16 per cell]
O 0.132 0.020 0.250 [8 per cell]

---

Entry 2:
Sm3TaO7: calculated X-ray powder pattern (a wavelength of 1.5418 Å), based on a PBE-relaxed structure.

Most intense lines, 2θ from 10° to 80°, sorted by position:
hkl  2θ (°)  I (rel.)
2 0 1  28.47  100
0 4 1  29.22  94
0 0 2  32.73  22
2 4 0  33.78  43
4 0 0  47.55  17
2 4 2  47.75  62
0 8 0  49.47  14
2 0 3  55.84  14
0 4 3  56.28  13
4 4 1  56.79  29
2 8 1  58.07  26
6 0 1  76.72  16

Structural model:
Cell lengths 7.649, 14.741, 5.472 Å; angles 90.00, 90.00, 90.00 degrees
Space group Cmme (No. 67)
Asymmetric unit:
Sm 0.000 0.118 0.028 [8 per cell]
Sm 0.250 0.250 0.500 [4 per cell]
Ta 0.250 0.000 0.500 [4 per cell]
O 0.000 0.010 0.292 [8 per cell]
O 0.000 0.250 0.257 [4 per cell]
O 0.223 0.116 0.733 [16 per cell]

---

Entry 3:
Sm2TeO6: calculated X-ray powder pattern (a wavelength of 1.5418 Å), based on a PBE-relaxed structure.

Most intense lines, 2θ from 10° to 80°, sorted by position:
hkl  2θ (°)  I (rel.)
1 1 1  25.36  100
0 2 1  27.72  52
2 1 0  29.39  20
0 0 2  33.41  51
1 2 1  33.89  19
1 2 2  45.06  19
0 3 2  47.96  41
2 3 1  52.45  28
1 1 3  55.01  17
0 5 1  60.03  15
4 2 0  60.96  10
3 2 3  73.77  11

Structural model:
Cell lengths 9.2847, 9.2847, 5.3695 Å; angles 90.00, 90.00, 120.00 degrees
Space group P321 (No. 150)
Asymmetric unit:
Sm 0.0000 0.2764 0.0000 [3 per cell]
Sm 0.0000 0.6139 0.5000 [3 per cell]
Te 0.0000 0.0000 0.5000 [1 per cell]
Te 0.3333 0.6667 0.9989 [2 per cell]
O 0.0719 0.8761 0.2920 [6 per cell]
O 0.1369 0.5430 0.2088 [6 per cell]
O 0.2270 0.7594 0.7887 [6 per cell]

---

Entry 4:
Sm2TeO6: calculated X-ray powder pattern (a wavelength of 1.5418 Å), based on a PBE-relaxed structure.

Most intense lines, 2θ from 10° to 80°, sorted by position:
hkl  2θ (°)  I (rel.)
1 2 0  25.22  46
1 1 2  25.83  87
1 2 1  26.71  100
0 1 3  27.94  30
0 3 1  30.09  31
1 1 3  32.55  56
2 0 0  33.06  35
0 3 2  33.81  26
1 2 3  36.69  24
2 3 1  45.31  29
2 3 2  48.01  23
1 5 1  52.74  30

Structural model:
Cell lengths 5.420, 9.312, 10.200 Å; angles 90.00, 90.00, 90.00 degrees
Space group P2_12_12_1 (No. 19)
Asymmetric unit:
Sm 0.025 0.104 0.458 [4 per cell]
Sm 0.034 0.217 0.862 [4 per cell]
Te 0.041 0.495 0.357 [4 per cell]
O 0.076 0.848 0.023 [4 per cell]
O 0.169 0.947 0.289 [4 per cell]
O 0.183 0.638 0.242 [4 per cell]
O 0.189 0.640 0.824 [4 per cell]
O 0.224 0.113 0.064 [4 per cell]
O 0.248 0.586 0.493 [4 per cell]

---

Entry 5:
Sm2TeO6: calculated X-ray powder pattern (a wavelength of 1.5418 Å), based on a PBE-relaxed structure.

Most intense lines, 2θ from 10° to 80°, sorted by position:
hkl  2θ (°)  I (rel.)
1 1 0  24.74  100
1 0 3  31.39  88
2 0 0  35.27  25
2 1 3  47.92  68
2 2 0  50.74  17
0 0 6  53.25  8
3 1 0  57.24  16
1 1 6  59.57  17
3 0 3  60.89  20
2 0 6  65.50  10
3 2 3  72.36  15
2 2 6  76.63  9

Structural model:
Cell lengths 5.089, 5.089, 10.321 Å; angles 90.00, 90.00, 90.00 degrees
Space group P4_2/mnm (No. 136)
Asymmetric unit:
Sm 0.000 0.000 0.165 [4 per cell]
Te 0.000 0.000 0.500 [2 per cell]
O 0.181 0.181 0.358 [8 per cell]
O 0.227 0.227 0.000 [4 per cell]

---

Entry 6:
Sm2Th8O19: calculated X-ray powder pattern (a wavelength of 1.5418 Å), based on a PBE-relaxed structure.

Most intense lines, 2θ from 10° to 80°, sorted by position:
hkl  2θ (°)  I (rel.)
1 0 4  26.14  1
1 0 5  27.89  100
1 1 0  32.32  37
2 0 0  46.35  50
1 0 15  54.90  15
2 1 5  55.00  31
2 0 10  57.64  11
0 0 20  67.52  3
2 2 0  67.70  5
3 0 5  74.68  19
1 1 20  76.87  5
3 1 0  77.02  10

Structural model:
Cell lengths 3.914, 3.914, 27.745 Å; angles 90.00, 90.00, 90.00 degrees
Space group P-4m2 (No. 115)
Asymmetric unit:
Sm 0.000 0.500 0.055 [2 per cell]
Th 0.000 0.500 0.250 [2 per cell]
Th 0.000 0.500 0.450 [2 per cell]
Th 0.000 0.500 0.650 [2 per cell]
Th 0.000 0.500 0.851 [2 per cell]
O 0.000 0.000 0.000 [1 per cell]
O 0.000 0.000 0.102 [2 per cell]
O 0.000 0.000 0.200 [2 per cell]
O 0.000 0.000 0.300 [2 per cell]
O 0.000 0.000 0.400 [2 per cell]
O 0.000 0.000 0.500 [1 per cell]
O 0.500 0.500 0.096 [2 per cell]
O 0.500 0.500 0.198 [2 per cell]
O 0.500 0.500 0.300 [2 per cell]
O 0.500 0.500 0.400 [2 per cell]
O 0.500 0.500 0.500 [1 per cell]

---

Entry 7:
Sm2Ti2O7: calculated X-ray powder pattern (a wavelength of 1.5418 Å), based on a PBE-relaxed structure.

Most intense lines, 2θ from 10° to 80°, sorted by position:
hkl  2θ (°)  I (rel.)
1 1 1  14.88  27
3 1 1  28.72  15
2 2 2  30.02  100
4 0 0  34.81  29
3 3 1  38.04  21
5 1 1  45.73  10
4 4 0  50.05  48
5 3 1  52.51  9
6 2 2  59.47  41
4 4 4  62.40  10
5 5 3  70.11  4
8 0 0  73.48  7

Structural model:
Cell lengths 10.310, 10.310, 10.310 Å; angles 90.00, 90.00, 90.00 degrees
Space group Fd-3m (No. 227, origin choice 2)
Asymmetric unit:
Sm 0.000 0.000 0.000 [16 per cell]
Ti 0.000 0.000 0.500 [16 per cell]
O 0.077 0.375 0.875 [48 per cell]
O 0.125 0.125 0.125 [8 per cell]

---

Entry 8:
Sm2TiO5: calculated X-ray powder pattern (a wavelength of 1.5418 Å), based on a PBE-relaxed structure.

Most intense lines, 2θ from 10° to 80°, sorted by position:
hkl  2θ (°)  I (rel.)
1 0 1  12.87  14
1 0 2  16.10  17
2 0 3  28.84  100
0 1 3  29.46  92
2 1 0  33.78  65
1 1 5  39.20  13
4 0 0  47.67  14
2 1 6  48.55  53
0 2 0  49.30  17
4 1 3  57.04  27
2 0 9  57.50  13
2 2 3  58.13  27

Structural model:
Cell lengths 7.630, 3.697, 15.897 Å; angles 90.00, 90.00, 90.00 degrees
Space group Pnma (No. 62)
Asymmetric unit:
Sm 0.122 0.250 0.079 [4 per cell]
Sm 0.141 0.250 0.739 [4 per cell]
Ti 0.124 0.250 0.422 [4 per cell]
O 0.088 0.750 0.454 [4 per cell]
O 0.090 0.750 0.171 [4 per cell]
O 0.102 0.750 0.648 [4 per cell]
O 0.156 0.750 0.991 [4 per cell]
O 0.245 0.750 0.824 [4 per cell]

---

Entry 9:
Sm2TiO5: calculated X-ray powder pattern (a wavelength of 1.5418 Å), based on a PBE-relaxed structure.

Most intense lines, 2θ from 10° to 80°, sorted by position:
hkl  2θ (°)  I (rel.)
1 0 1  11.33  14
1 0 3  24.76  12
2 1 0  28.77  100
0 1 3  33.21  21
4 0 0  33.57  8
3 1 3  42.04  9
0 2 0  47.74  11
4 1 3  47.94  22
1 0 6  48.43  8
1 1 6  54.45  11
2 2 3  56.66  16
6 1 0  57.11  9

Structural model:
Cell lengths 10.680, 3.810, 11.456 Å; angles 90.00, 90.00, 90.00 degrees
Space group Pnma (No. 62)
Asymmetric unit:
Sm 0.110 0.250 0.223 [4 per cell]
Sm 0.137 0.250 0.556 [4 per cell]
Ti 0.180 0.250 0.879 [4 per cell]
O 0.007 0.750 0.604 [4 per cell]
O 0.017 0.250 0.842 [4 per cell]
O 0.224 0.250 0.040 [4 per cell]
O 0.236 0.750 0.231 [4 per cell]
O 0.236 0.750 0.882 [4 per cell]